No. 1
TiP2O7: calculated powder X-ray diffraction pattern (λ = 1.5418 Å (Cu Kα)), based on a structure optimized by DFT (GGA-PBE).

The 10 most intense peaks (15° ≤ 2θ ≤ 90°), by angle:
two_theta, Rel. int., index
21.63, 100, 2 0 0
24.22, 85, 2 1 0
26.58, 77, 2 1 1
30.78, 17, 2 2 0
36.26, 15, 3 1 1
45.52, 20, 4 1 0
49.62, 22, 4 0 2
54.73, 20, 4 2 2
58.36, 20, 5 1 1
64.12, 12, 4 4 0

Crystal structure
Cell lengths 8.2157, 8.2157, 8.2157 Å; angles 90.00, 90.00, 90.00 degrees
Space group Pa-3 (No. 205)
Asymmetric unit:
Ti: 0.0000 0.0000 0.0000 [4 per cell]
P: 0.1114 0.6114 0.8886 [8 per cell]
O: 0.0000 0.0000 0.5000 [4 per cell]
O: 0.0586 0.7135 0.4163 [24 per cell]

=====

No. 2
Y3ZnHg2: calculated powder X-ray diffraction pattern (λ = 1.5418 Å (Cu Kα)), based on a structure optimized by DFT (GGA-PBE).

The 10 most intense peaks (15° ≤ 2θ ≤ 90°), by angle:
two_theta, Rel. int., index
20.90, 13, 1 0 1
24.15, 19, 0 1 2
34.34, 100, 1 0 4
34.49, 99, 1 1 0
49.46, 36, 0 2 4
61.41, 18, 0 1 8
61.73, 55, 3 0 0
72.38, 11, 2 0 8
82.71, 16, 1 2 8
82.95, 16, 1 3 4

Crystal structure
Cell lengths 5.2012, 5.2012, 12.8189 Å; angles 90.00, 90.00, 120.00 degrees
Space group P-3m1 (No. 164)
Asymmetric unit:
Y: 0.0000 0.0000 0.2450 [2 per cell]
Y: 0.3333 0.6667 0.4128 [2 per cell]
Y: 0.3333 0.6667 0.9182 [2 per cell]
Zn: 0.3333 0.6667 0.1661 [2 per cell]
Hg: 0.0000 0.0000 0.0000 [1 per cell]
Hg: 0.0000 0.0000 0.5000 [1 per cell]
Hg: 0.3333 0.6667 0.6726 [2 per cell]